# Nd3Y3Tm5
Calculated XRD peak list, Cu Kα, 1.54184 Å. Input: a cell relaxed with GGA-PBE.
Neutral-atom scattering factors, no anomalous dispersion.

Crystal structure
```
11
Lattice="9.9876 0.0000 0.0000 -4.9938 8.6495 0.0000 0.0000 0.0000 22.7044" Properties=species:S:1:pos:R:3 pbc="T T T"
Nd -1.4475 2.5071 0.0000
Nd 2.8949 0.0000 0.0000
Nd 3.5463 6.1424 0.0000
Y -4.0770 7.0615 11.3522
Y 0.9168 1.5879 11.3522
Y 8.1539 0.0000 11.3522
Tm -3.1234 5.4100 0.0000
Tm 0.0000 5.7663 0.0000
Tm 1.8703 3.2395 0.0000
Tm 6.2469 0.0000 0.0000
Tm 4.9938 2.8832 0.0000
```

Main lines, in order of falling intensity (2θ from 15° to 90°):
h k l, d (Å), 2theta, I/Imax
0 0 4, 5.680, 15.6, 100
3 0 1, 2.860, 31.3, 50
3 0 3, 2.694, 33.3, 42
0 0 7, 3.238, 27.6, 38
3 0 2, 2.794, 32.0, 35
3 0 5, 2.434, 36.9, 33
0 0 6, 3.784, 23.5, 30
3 0 4, 2.571, 34.9, 28
0 0 8, 2.836, 31.5, 25
2 1 3, 3.001, 29.8, 24